(1)
This entry pairs a crystal structure of Ca4Mn3AlO11 with its computed powder diffraction line list. Radiation: λ = 1.5418 Å (Cu Kα). Structure: a cell relaxed with GGA+U.
Intensities are scaled so that the largest is 100.

Structure:
a b c (Å): 7.643 7.643 3.781
angles (deg): 90.00 90.00 90.00
Space group P4/mmm (No. 123)
Symmetry-distinct sites (fractional):
Ca: 0.233 0.233 0.000 (multiplicity 4)
Mn: 0.000 0.000 0.500 (multiplicity 1)
Mn: 0.000 0.500 0.500 (multiplicity 2)
Al: 0.500 0.500 0.500 (multiplicity 1)
O: 0.000 0.000 0.000 (multiplicity 1)
O: 0.000 0.250 0.500 (multiplicity 4)
O: 0.000 0.500 0.000 (multiplicity 2)
O: 0.262 0.500 0.500 (multiplicity 4)

Most intense lines, 2θ = 5–70°, by angle:
| Position (°2θ) | d/Å | intensity | h k l |
| --- | --- | --- | --- |
| 11.58 | 7.643 | 26 | 1 0 0 |
| 23.28 | 3.822 | 9 | 2 0 0 |
| 33.15 | 2.702 | 39 | 2 2 0 |
| 33.34 | 2.688 | 100 | 2 0 1 |
| 41.06 | 2.198 | 11 | 2 2 1 |
| 47.59 | 1.911 | 47 | 4 0 0 |
| 48.14 | 1.890 | 24 | 0 0 2 |
| 59.34 | 1.557 | 31 | 4 2 1 |
| 59.70 | 1.549 | 14 | 2 2 2 |
| 69.58 | 1.351 | 12 | 4 4 0 |

---

(2)
This entry pairs a crystal structure of Ca4Mn2Al2O11 with its computed powder diffraction line list. Radiation: λ = 1.5418 Å (Cu Kα). Structure: a cell relaxed with GGA+U.
Intensities are scaled so that the largest is 100.

Structure:
a b c (Å): 5.284 5.284 7.702
angles (deg): 90.00 90.00 90.00
Space group P4/mmm (No. 123)
Symmetry-distinct sites (fractional):
Ca: 0.000 0.500 0.000 (multiplicity 2)
Ca: 0.000 0.500 0.500 (multiplicity 2)
Mn: 0.000 0.000 0.241 (multiplicity 2)
Al: 0.500 0.500 0.273 (multiplicity 2)
O: 0.000 0.000 0.000 (multiplicity 1)
O: 0.000 0.000 0.500 (multiplicity 1)
O: 0.258 0.258 0.230 (multiplicity 8)
O: 0.500 0.500 0.500 (multiplicity 1)

Most intense lines, 2θ = 5–70°, by angle:
| Position (°2θ) | d/Å | intensity | h k l |
| --- | --- | --- | --- |
| 16.78 | 5.284 | 17 | 1 0 0 |
| 23.10 | 3.851 | 5 | 0 0 2 |
| 33.42 | 2.681 | 100 | 1 1 2 |
| 33.93 | 2.642 | 38 | 2 0 0 |
| 38.08 | 2.363 | 6 | 2 1 0 |
| 41.45 | 2.178 | 21 | 2 0 2 |
| 47.20 | 1.925 | 25 | 0 0 4 |
| 48.75 | 1.868 | 50 | 2 2 0 |
| 59.40 | 1.556 | 15 | 2 0 4 |
| 60.39 | 1.533 | 33 | 3 1 2 |

---

(3)
This entry pairs a crystal structure of Ca2MnAlO5 with its computed powder diffraction line list. Radiation: λ = 1.5418 Å (Cu Kα). Structure: a cell relaxed with GGA+U.
Intensities are scaled so that the largest is 100.

Structure:
a b c (Å): 14.869 5.611 5.344
angles (deg): 90.00 90.00 90.00
Space group Ima2 (No. 46)
Symmetry-distinct sites (fractional):
Ca: 0.112 0.030 0.000 (multiplicity 8)
Mn: 0.000 0.000 0.489 (multiplicity 4)
Al: 0.250 0.573 0.026 (multiplicity 4)
O: 0.015 0.746 0.241 (multiplicity 8)
O: 0.149 0.073 0.455 (multiplicity 8)
O: 0.250 0.645 0.359 (multiplicity 4)

Most intense lines, 2θ = 5–70°, by angle:
| Position (°2θ) | d/Å | intensity | h k l |
| --- | --- | --- | --- |
| 11.90 | 7.434 | 46 | 2 0 0 |
| 31.90 | 2.805 | 31 | 0 2 0 |
| 33.43 | 2.681 | 100 | 4 1 1 |
| 33.54 | 2.672 | 38 | 0 0 2 |
| 43.36 | 2.087 | 28 | 6 1 1 |
| 46.96 | 1.935 | 42 | 0 2 2 |
| 48.62 | 1.872 | 13 | 2 2 2 |
| 49.01 | 1.859 | 19 | 8 0 0 |
| 57.83 | 1.595 | 20 | 4 3 1 |
| 59.89 | 1.544 | 22 | 4 1 3 |

---

(4)
This entry pairs a crystal structure of Ca4Mn3AlO10 with its computed powder diffraction line list. Radiation: λ = 1.5418 Å (Cu Kα). Structure: a cell relaxed with GGA+U.
Intensities are scaled so that the largest is 100.

Structure:
a b c (Å): 7.613 7.589 7.939
angles (deg): 90.00 92.76 90.00
Space group Pm (No. 6)
Symmetry-distinct sites (fractional):
Ca: 0.000 0.233 0.000 (multiplicity 2)
Ca: 0.455 0.236 0.037 (multiplicity 2)
Ca: 0.469 0.234 0.484 (multiplicity 2)
Ca: 0.939 0.245 0.553 (multiplicity 2)
Mn: 0.206 0.000 0.259 (multiplicity 1)
Mn: 0.215 0.000 0.761 (multiplicity 1)
Mn: 0.247 0.500 0.750 (multiplicity 1)
Mn: 0.706 0.000 0.757 (multiplicity 1)
Mn: 0.710 0.000 0.254 (multiplicity 1)
Mn: 0.716 0.500 0.809 (multiplicity 1)
Al: 0.185 0.500 0.315 (multiplicity 1)
Al: 0.772 0.500 0.245 (multiplicity 1)
O: 0.211 0.000 0.516 (multiplicity 1)
O: 0.222 0.299 0.210 (multiplicity 2)
O: 0.233 0.251 0.777 (multiplicity 2)
O: 0.242 0.000 0.003 (multiplicity 1)
O: 0.324 0.500 0.504 (multiplicity 1)
O: 0.457 0.000 0.281 (multiplicity 1)
O: 0.479 0.500 0.893 (multiplicity 1)
O: 0.655 0.000 0.992 (multiplicity 1)
O: 0.664 0.299 0.280 (multiplicity 2)
O: 0.681 0.256 0.725 (multiplicity 2)
O: 0.731 0.000 0.511 (multiplicity 1)
O: 0.852 0.500 0.041 (multiplicity 1)
O: 0.956 0.000 0.211 (multiplicity 1)
O: 0.961 0.000 0.785 (multiplicity 1)
O: 0.964 0.500 0.732 (multiplicity 1)
O: 0.965 0.500 0.383 (multiplicity 1)

Most intense lines, 2θ = 5–70°, by angle:
| Position (°2θ) | d/Å | intensity | h k l |
| --- | --- | --- | --- |
| 31.81 | 2.813 | 39 | 2 0 -2 |
| 32.67 | 2.741 | 58 | 0 2 2 |
| 33.39 | 2.683 | 100 | 2 0 2 |
| 45.77 | 1.982 | 21 | 0 0 4 |
| 47.85 | 1.901 | 21 | 4 0 0 |
| 47.95 | 1.897 | 29 | 0 4 0 |
| 54.59 | 1.681 | 12 | 3 2 -3 |
| 58.84 | 1.570 | 13 | 2 2 4 |
| 59.72 | 1.548 | 13 | 2 4 2 |
| 60.15 | 1.538 | 14 | 4 2 2 |

---

(5)
This entry pairs a crystal structure of Ca4Mn2Al2O11 with its computed powder diffraction line list. Radiation: λ = 1.5418 Å (Cu Kα). Structure: a cell relaxed with GGA+U.
Intensities are scaled so that the largest is 100.

Structure:
a b c (Å): 7.558 7.758 29.438
angles (deg): 90.00 90.00 90.00
Space group Fmmm (No. 69)
Symmetry-distinct sites (fractional):
Ca: 0.000 0.219 0.071 (multiplicity 16)
Ca: 0.000 0.250 0.192 (multiplicity 16)
Mn: 0.242 0.000 0.376 (multiplicity 16)
Al: 0.175 0.000 0.500 (multiplicity 8)
Al: 0.250 0.000 0.250 (multiplicity 8)
O: 0.000 0.000 0.132 (multiplicity 8)
O: 0.000 0.000 0.241 (multiplicity 8)
O: 0.000 0.000 0.395 (multiplicity 8)
O: 0.000 0.163 0.500 (multiplicity 8)
O: 0.196 0.000 0.315 (multiplicity 16)
O: 0.208 0.000 0.052 (multiplicity 16)
O: 0.250 0.250 0.121 (multiplicity 16)
O: 0.250 0.250 0.250 (multiplicity 8)

Most intense lines, 2θ = 5–70°, by angle:
| Position (°2θ) | d/Å | intensity | h k l |
| --- | --- | --- | --- |
| 12.03 | 7.360 | 41 | 0 0 4 |
| 33.09 | 2.707 | 100 | 2 2 0 |
| 33.57 | 2.670 | 72 | 0 2 8 |
| 34.01 | 2.636 | 78 | 2 0 8 |
| 46.84 | 1.940 | 47 | 0 4 0 |
| 48.16 | 1.889 | 37 | 4 0 0 |
| 49.55 | 1.840 | 38 | 0 0 16 |
| 59.13 | 1.562 | 30 | 2 4 8 |
| 59.98 | 1.542 | 25 | 4 2 8 |
| 60.88 | 1.522 | 30 | 2 2 16 |

---

(6)
This entry pairs a crystal structure of Ca2MnAl2Si3O13 with its computed powder diffraction line list. Radiation: λ = 1.5418 Å (Cu Kα). Structure: a cell relaxed with GGA+U.
Intensities are scaled so that the largest is 100.

Structure:
a b c (Å): 8.903 5.832 10.257
angles (deg): 90.00 111.55 90.00
Space group P2_1/m (No. 11)
Symmetry-distinct sites (fractional):
Ca: 0.095 0.250 0.339 (multiplicity 2)
Ca: 0.284 0.750 0.904 (multiplicity 2)
Mn: 0.500 0.000 0.500 (multiplicity 2)
Al: 0.000 0.000 0.000 (multiplicity 2)
Al: 0.477 0.250 0.780 (multiplicity 2)
Si: 0.100 0.250 0.767 (multiplicity 2)
Si: 0.192 0.750 0.519 (multiplicity 2)
Si: 0.367 0.250 0.173 (multiplicity 2)
O: 0.002 0.750 0.404 (multiplicity 2)
O: 0.054 0.020 0.836 (multiplicity 4)
O: 0.134 0.750 0.050 (multiplicity 2)
O: 0.170 0.250 0.107 (multiplicity 2)
O: 0.176 0.750 0.669 (multiplicity 2)
O: 0.278 0.520 0.485 (multiplicity 4)
O: 0.290 0.250 0.794 (multiplicity 2)
O: 0.430 0.250 0.351 (multiplicity 2)
O: 0.444 0.017 0.130 (multiplicity 4)
O: 0.471 0.750 0.371 (multiplicity 2)

Most intense lines, 2θ = 5–70°, by angle:
| Position (°2θ) | d/Å | intensity | h k l |
| --- | --- | --- | --- |
| 16.55 | 5.355 | 43 | 1 0 1 |
| 21.46 | 4.140 | 47 | 2 0 0 |
| 26.07 | 3.418 | 68 | 1 0 -3 |
| 29.15 | 3.064 | 100 | 1 1 2 |
| 30.22 | 2.957 | 54 | 3 0 -1 |
| 30.65 | 2.917 | 46 | 0 2 0 |
| 32.77 | 2.733 | 52 | 1 2 -1 |
| 36.00 | 2.495 | 46 | 3 1 0 |
| 36.10 | 2.488 | 51 | 0 2 2 |
| 42.30 | 2.137 | 42 | 2 2 -3 |

---

(7)
This entry pairs a crystal structure of Ca2AlMoO5 with its computed powder diffraction line list. Radiation: λ = 1.5418 Å (Cu Kα). Structure: a cell relaxed with GGA+U.
Intensities are scaled so that the largest is 100.

Structure:
a b c (Å): 15.426 5.865 5.712
angles (deg): 90.00 110.51 90.00
Space group Cc (No. 9)
Symmetry-distinct sites (fractional):
Ca: 0.000 0.215 0.000 (multiplicity 4)
Ca: 0.269 0.223 0.363 (multiplicity 4)
Al: 0.138 0.327 0.727 (multiplicity 4)
Mo: 0.386 0.248 0.931 (multiplicity 4)
O: 0.034 0.167 0.613 (multiplicity 4)
O: 0.140 0.427 0.034 (multiplicity 4)
O: 0.237 0.162 0.749 (multiplicity 4)
O: 0.363 0.440 0.222 (multiplicity 4)
O: 0.409 0.063 0.637 (multiplicity 4)

Most intense lines, 2θ = 5–70°, by angle:
| Position (°2θ) | d/Å | intensity | h k l |
| --- | --- | --- | --- |
| 12.25 | 7.224 | 100 | 2 0 0 |
| 21.72 | 4.092 | 28 | 1 1 -1 |
| 25.18 | 3.537 | 35 | 3 1 -1 |
| 30.48 | 2.933 | 46 | 0 2 0 |
| 31.33 | 2.855 | 54 | 2 0 -2 |
| 32.82 | 2.728 | 73 | 3 1 1 |
| 33.34 | 2.688 | 65 | 5 1 -1 |
| 43.31 | 2.089 | 29 | 5 1 1 |
| 44.28 | 2.046 | 46 | 2 2 -2 |
| 56.01 | 1.642 | 21 | 5 3 -1 |

---

(8)
This entry pairs a crystal structure of Ca4Al6MoO16 with its computed powder diffraction line list. Radiation: λ = 1.5418 Å (Cu Kα). Structure: a cell relaxed with GGA+U.
Intensities are scaled so that the largest is 100.

Structure:
a b c (Å): 9.344 9.344 9.550
angles (deg): 90.00 90.00 90.00
Space group I-4 (No. 82)
Symmetry-distinct sites (fractional):
Ca: 0.214 0.251 0.483 (multiplicity 8)
Al: 0.000 0.000 0.000 (multiplicity 2)
Al: 0.000 0.000 0.500 (multiplicity 2)
Al: 0.015 0.248 0.756 (multiplicity 8)
Mo: 0.000 0.500 0.250 (multiplicity 2)
O: 0.017 0.843 0.597 (multiplicity 8)
O: 0.024 0.345 0.359 (multiplicity 8)
O: 0.067 0.151 0.906 (multiplicity 8)
O: 0.149 0.666 0.792 (multiplicity 8)

Most intense lines, 2θ = 5–70°, by angle:
| Position (°2θ) | d/Å | intensity | h k l |
| --- | --- | --- | --- |
| 22.98 | 3.870 | 50 | 1 1 2 |
| 23.23 | 3.828 | 100 | 1 2 1 |
| 26.69 | 3.339 | 24 | 2 0 2 |
| 32.97 | 2.717 | 18 | 2 2 2 |
| 38.54 | 2.336 | 15 | 4 0 0 |
| 40.52 | 2.226 | 13 | 3 0 3 |
| 40.94 | 2.205 | 12 | 1 4 1 |
| 45.11 | 2.010 | 12 | 2 3 3 |
| 47.50 | 1.914 | 12 | 4 2 2 |
| 54.99 | 1.670 | 13 | 4 0 4 |

---

What did the seventh record say?
This entry pairs a crystal structure of Ca2AlMoO5 with its computed powder diffraction line list. Radiation: λ = 1.5418 Å (Cu Kα). Structure: a cell relaxed with GGA+U.
Intensities are scaled so that the largest is 100.

Structure:
a b c (Å): 15.426 5.865 5.712
angles (deg): 90.00 110.51 90.00
Space group Cc (No. 9)
Symmetry-distinct sites (fractional):
Ca: 0.000 0.215 0.000 (multiplicity 4)
Ca: 0.269 0.223 0.363 (multiplicity 4)
Al: 0.138 0.327 0.727 (multiplicity 4)
Mo: 0.386 0.248 0.931 (multiplicity 4)
O: 0.034 0.167 0.613 (multiplicity 4)
O: 0.140 0.427 0.034 (multiplicity 4)
O: 0.237 0.162 0.749 (multiplicity 4)
O: 0.363 0.440 0.222 (multiplicity 4)
O: 0.409 0.063 0.637 (multiplicity 4)

Most intense lines, 2θ = 5–70°, by angle:
| Position (°2θ) | d/Å | intensity | h k l |
| --- | --- | --- | --- |
| 12.25 | 7.224 | 100 | 2 0 0 |
| 21.72 | 4.092 | 28 | 1 1 -1 |
| 25.18 | 3.537 | 35 | 3 1 -1 |
| 30.48 | 2.933 | 46 | 0 2 0 |
| 31.33 | 2.855 | 54 | 2 0 -2 |
| 32.82 | 2.728 | 73 | 3 1 1 |
| 33.34 | 2.688 | 65 | 5 1 -1 |
| 43.31 | 2.089 | 29 | 5 1 1 |
| 44.28 | 2.046 | 46 | 2 2 -2 |
| 56.01 | 1.642 | 21 | 5 3 -1 |